1.
# KH3Se2O6
Calculated powder diffractogram, λ = 1.5418 Å (Cu Kα). Input: the PBE geometry in the Materials Project.
No peak broadening, texture or thermal motion is included.

Cell and atoms:
Cell: 6.477 6.439 16.206 Å, 90.00 90.00 90.00°
Space group Pna2_1 (No. 33)
Asymmetric unit:
K1 0.248 0.061 0.000 (multiplicity 4)
H1 0.031 0.810 0.330 (multiplicity 4)
H2 0.036 0.312 0.179 (multiplicity 4)
H3 0.233 0.624 0.015 (multiplicity 4)
Se1 0.206 0.056 0.658 (multiplicity 4)
Se2 0.212 0.559 0.856 (multiplicity 4)
O1 0.071 0.857 0.617 (multiplicity 4)
O2 0.073 0.357 0.893 (multiplicity 4)
O3 0.091 0.433 0.213 (multiplicity 4)
O4 0.092 0.927 0.295 (multiplicity 4)
O5 0.142 0.635 0.071 (multiplicity 4)
O6 0.148 0.136 0.441 (multiplicity 4)

Main lines, in order of falling intensity (10° ≤ 2θ ≤ 90°):
| (hkl) | 2θ (°) | I_rel |
| --- | --- | --- |
| 1 1 3 | 25.5 | 100 |
| 1 1 1 | 20.2 | 30 |
| 1 2 0 | 31.0 | 15 |
| 0 2 0 | 27.7 | 14 |
| 2 0 0 | 27.5 | 14 |
| 0 0 4 | 21.9 | 11 |
| 0 2 6 | 43.8 | 9 |
| 2 3 3 | 54.0 | 9 |
| 2 0 6 | 43.6 | 8 |
| 2 2 0 | 39.5 | 7 |

=====

2.
# KH3Se2O8
Calculated powder diffractogram, λ = 1.5418 Å (Cu Kα). Input: the PBE geometry in the Materials Project.
No peak broadening, texture or thermal motion is included.

Cell and atoms:
Cell: 7.941 12.162 9.008 Å, 90.00 110.68 90.00°
Space group P2_1/c (No. 14)
Asymmetric unit:
K1 0.133 0.249 0.049 (multiplicity 4)
H1 0.232 0.575 0.498 (multiplicity 4)
H2 0.275 0.625 0.845 (multiplicity 4)
H3 0.346 0.565 0.196 (multiplicity 4)
Se1 0.061 0.001 0.759 (multiplicity 4)
Se2 0.436 0.713 0.076 (multiplicity 4)
O1 0.051 0.618 0.761 (multiplicity 4)
O2 0.058 0.113 0.274 (multiplicity 4)
O3 0.198 0.003 0.963 (multiplicity 4)
O4 0.199 0.010 0.655 (multiplicity 4)
O5 0.253 0.712 0.544 (multiplicity 4)
O6 0.371 0.225 0.875 (multiplicity 4)
O7 0.410 0.635 0.906 (multiplicity 4)
O8 0.459 0.620 0.226 (multiplicity 4)

Main lines, in order of falling intensity (10° ≤ 2θ ≤ 90°):
| (hkl) | 2θ (°) | I_rel |
| --- | --- | --- |
| 1 2 0 | 18.9 | 100 |
| 0 2 2 | 25.7 | 75 |
| 2 1 0 | 25.0 | 47 |
| 2 1 -2 | 26.8 | 33 |
| 1 1 -2 | 21.5 | 28 |
| 2 3 1 | 37.1 | 26 |
| 1 1 1 | 19.9 | 23 |
| 0 4 0 | 29.4 | 21 |
| 1 0 2 | 27.8 | 21 |
| 1 3 -1 | 25.5 | 19 |

=====

3.
# KH3Se2O6
Calculated powder diffractogram, λ = 1.5418 Å (Cu Kα). Input: the PBE geometry in the Materials Project.
No peak broadening, texture or thermal motion is included.

Cell and atoms:
Cell: 6.452 16.511 6.405 Å, 90.00 91.92 90.00°
Space group P2_1/c (No. 14)
Asymmetric unit:
K1 0.245 0.001 0.312 (multiplicity 4)
H1 0.028 0.669 0.060 (multiplicity 4)
H2 0.243 0.511 0.379 (multiplicity 4)
H3 0.468 0.175 0.569 (multiplicity 4)
Se1 0.215 0.150 0.813 (multiplicity 4)
Se2 0.302 0.651 0.305 (multiplicity 4)
O1 0.074 0.111 0.608 (multiplicity 4)
O2 0.092 0.703 0.183 (multiplicity 4)
O3 0.155 0.564 0.388 (multiplicity 4)
O4 0.359 0.069 0.899 (multiplicity 4)
O5 0.409 0.210 0.683 (multiplicity 4)
O6 0.432 0.611 0.106 (multiplicity 4)

Main lines, in order of falling intensity (10° ≤ 2θ ≤ 90°):
| (hkl) | 2θ (°) | I_rel |
| --- | --- | --- |
| 1 3 -1 | 25.2 | 100 |
| 1 3 1 | 25.7 | 91 |
| 1 1 -1 | 20.0 | 30 |
| 0 0 2 | 27.9 | 25 |
| 2 0 0 | 27.7 | 24 |
| 1 1 1 | 20.6 | 24 |
| 0 4 0 | 21.5 | 24 |
| 2 0 -2 | 39.0 | 20 |
| 2 6 0 | 43.2 | 15 |
| 1 0 2 | 31.6 | 15 |

=====

4.
# KUHSeO7
Calculated powder diffractogram, λ = 1.5418 Å (Cu Kα). Input: the PBE geometry in the Materials Project.
No peak broadening, texture or thermal motion is included.

Cell and atoms:
Cell: 8.475 8.172 12.160 Å, 90.00 109.61 90.00°
Space group P2_1/c (No. 14)
Asymmetric unit:
K1 0.056 0.036 0.278 (multiplicity 4)
U1 0.454 0.076 0.729 (multiplicity 4)
H1 0.293 0.229 0.027 (multiplicity 4)
Se1 0.176 0.745 0.038 (multiplicity 4)
O1 0.037 0.709 0.602 (multiplicity 4)
O2 0.105 0.739 0.395 (multiplicity 4)
O3 0.242 0.548 0.072 (multiplicity 4)
O4 0.283 0.142 0.781 (multiplicity 4)
O5 0.346 0.630 0.593 (multiplicity 4)
O6 0.392 0.534 0.843 (multiplicity 4)
O7 0.493 0.662 0.295 (multiplicity 4)

Main lines, in order of falling intensity (10° ≤ 2θ ≤ 90°):
| (hkl) | 2θ (°) | I_rel |
| --- | --- | --- |
| 1 0 -2 | 15.7 | 100 |
| 1 2 -1 | 24.5 | 80 |
| 0 2 2 | 26.8 | 63 |
| 1 0 0 | 11.1 | 61 |
| 0 0 2 | 15.5 | 59 |
| 2 0 2 | 31.3 | 57 |
| 2 0 -2 | 22.5 | 44 |
| 0 2 1 | 23.1 | 34 |
| 1 3 4 | 50.1 | 20 |
| 1 0 2 | 21.9 | 20 |

=====

5.
# KSiHO3
Calculated powder diffractogram, λ = 1.5418 Å (Cu Kα). Input: the PBE geometry in the Materials Project.
No peak broadening, texture or thermal motion is included.

Cell and atoms:
Cell: 11.737 9.722 11.442 Å, 90.00 90.00 90.00°
Space group Cmce (No. 64)
Asymmetric unit:
K1 0.000 0.178 0.043 (multiplicity 8)
K2 0.250 0.239 0.750 (multiplicity 8)
Si1 0.000 0.016 0.316 (multiplicity 8)
Si2 0.197 0.000 0.500 (multiplicity 8)
H1 0.000 0.168 0.807 (multiplicity 8)
H2 0.250 0.250 0.000 (multiplicity 8)
O1 0.000 0.062 0.812 (multiplicity 8)
O2 0.000 0.179 0.299 (multiplicity 8)
O3 0.113 0.046 0.612 (multiplicity 16)
O4 0.228 0.134 0.033 (multiplicity 16)

Main lines, in order of falling intensity (10° ≤ 2θ ≤ 90°):
| (hkl) | 2θ (°) | I_rel |
| --- | --- | --- |
| 2 2 2 | 28.5 | 100 |
| 4 0 0 | 30.5 | 51 |
| 1 3 1 | 29.6 | 45 |
| 1 1 4 | 33.5 | 26 |
| 4 0 4 | 44.2 | 24 |
| 3 1 1 | 25.8 | 21 |
| 1 1 1 | 14.1 | 18 |
| 1 1 3 | 26.2 | 17 |
| 0 0 4 | 31.3 | 15 |
| 2 0 4 | 34.9 | 14 |